Calculated X-ray diffraction stick pattern of U2Zn12Ga5 for CuKα, from a structure optimized by DFT (GGA-PBE).
Neutral-atom scattering factors, no anomalous dispersion.

```
data_U2Zn12Ga5
_cell_length_a 9.2778
_cell_length_b 9.2778
_cell_length_c 12.9425
_cell_angle_alpha 90.00
_cell_angle_beta 90.00
_cell_angle_gamma 120.00
_space_group_name_H-M_alt 'R -3 m'
_space_group_IT_number 166
_space_group_name_Hall '-R 3 2"'
loop_
_atom_site_label
_atom_site_type_symbol
_atom_site_fract_x
_atom_site_fract_y
_atom_site_fract_z
U1 U 0.0000 0.0000 0.1724
Zn1 Zn 0.0000 0.3182 0.5000
Zn2 Zn 0.0199 0.5100 0.6584
Ga1 Ga 0.0000 0.0000 0.4018
Ga2 Ga 0.0000 0.5000 0.0000
```

Peak list (6 most intense, 10 to 90 degrees two-theta, most intense first)
(hkl)  two_theta  d [Å]  I (rel.)
0 3 3  39.6  2.275  1000
2 2 0  38.8  2.319  504
3 0 0  33.5  2.678  458
1 1 3  28.2  3.159  366
0 0 6  41.9  2.157  245
3 3 3  64.0  1.456  208

Calculated X-ray diffraction stick pattern of Pr12Er7Cd for CuKα, from a structure optimized by DFT (GGA-PBE).
Neutral-atom scattering factors, no anomalous dispersion.

```
data_Pr12Er7Cd
_cell_length_a 11.550
_cell_length_b 11.550
_cell_length_c 11.550
_cell_angle_alpha 90.00
_cell_angle_beta 90.00
_cell_angle_gamma 90.00
_space_group_name_H-M_alt 'I m -3'
_space_group_IT_number 204
_space_group_name_Hall '-I 2 2 3'
loop_
_atom_site_label
_atom_site_type_symbol
_atom_site_fract_x
_atom_site_fract_y
_atom_site_fract_z
Pr1 Pr 0.000 0.277 0.215
Er1 Er 0.000 0.000 0.500
Er2 Er 0.250 0.250 0.250
Cd1 Cd 0.000 0.000 0.000
```

Peak list (6 most intense, 10 to 90 degrees two-theta, most intense first)
(hkl)  two_theta  d [Å]  I (rel.)
4 0 0  31.0  2.888  1000
4 4 0  44.4  2.042  591
2 2 2  26.7  3.334  549
2 2 0  21.8  4.084  344
4 2 2  38.2  2.358  341
2 0 0  15.3  5.775  219

Calculated X-ray diffraction stick pattern of Sc7Tl3Cd2 for CuKα, from a structure optimized by DFT (GGA-PBE).
Neutral-atom scattering factors, no anomalous dispersion.

```
data_Sc7Tl3Cd2
_cell_length_a 5.561
_cell_length_b 21.192
_cell_length_c 5.541
_cell_angle_alpha 90.00
_cell_angle_beta 110.89
_cell_angle_gamma 90.00
_space_group_name_H-M_alt 'C 1 2/m 1'
_space_group_IT_number 12
loop_
_space_group_symop_operation_xyz
'x,y,z'
'-x,-y,-z'
'-x,y,-z'
'x,-y,z'
'x+1/2,y+1/2,z'
'-x+1/2,-y+1/2,-z'
'-x+1/2,y+1/2,-z'
'x+1/2,-y+1/2,z'
loop_
_atom_site_label
_atom_site_type_symbol
_atom_site_fract_x
_atom_site_fract_y
_atom_site_fract_z
Sc1 Sc 0.000 0.000 0.000
Sc2 Sc 0.000 0.084 0.500
Sc3 Sc 0.000 0.289 0.000
Sc4 Sc 0.000 0.429 0.000
Tl1 Tl 0.000 0.343 0.500
Tl2 Tl 0.000 0.500 0.500
Cd1 Cd 0.000 0.146 0.000
```

Peak list (6 most intense, 10 to 90 degrees two-theta, most intense first)
(hkl)  two_theta  d [Å]  I (rel.)
1 7 -1  35.6  2.524  1000
1 1 -1  19.9  4.469  604
1 7 1  41.4  2.182  581
2 0 0  34.5  2.598  577
0 0 2  34.7  2.588  571
1 1 1  28.7  3.112  441

Calculated X-ray diffraction stick pattern of Ti4FeS8 for CuKα, from a structure optimized by DFT (GGA-PBE).
Neutral-atom scattering factors, no anomalous dispersion.

```
data_Ti4FeS8
_cell_length_a 11.131
_cell_length_b 6.777
_cell_length_c 8.021
_cell_angle_alpha 90.00
_cell_angle_beta 133.32
_cell_angle_gamma 90.00
_space_group_name_H-M_alt 'C 1 2/m 1'
_space_group_IT_number 12
loop_
_space_group_symop_operation_xyz
'x,y,z'
'-x,-y,-z'
'-x,y,-z'
'x,-y,z'
'x+1/2,y+1/2,z'
'-x+1/2,-y+1/2,-z'
'-x+1/2,y+1/2,-z'
'x+1/2,-y+1/2,z'
loop_
_atom_site_label
_atom_site_type_symbol
_atom_site_fract_x
_atom_site_fract_y
_atom_site_fract_z
Ti1 Ti 0.000 0.239 0.000
Ti2 Ti 0.239 0.000 0.494
Fe1 Fe 0.000 0.500 0.500
S1 S 0.037 0.500 0.823
S2 S 0.050 0.000 0.834
S3 S 0.200 0.258 0.666
```

Peak list (6 most intense, 10 to 90 degrees two-theta, most intense first)
(hkl)  two_theta  d [Å]  I (rel.)
2 2 -2  34.7  2.587  1000
4 2 -1  44.8  2.024  755
2 0 1  34.6  2.596  552
0 2 3  54.4  1.687  460
4 2 -3  45.0  2.012  378
2 0 -1  15.9  5.565  338

Calculated X-ray diffraction stick pattern of Pr5Pd2Pt for CuKα, from a structure optimized by DFT (GGA-PBE).
Neutral-atom scattering factors, no anomalous dispersion.

```
data_Pr5Pd2Pt
_cell_length_a 7.572
_cell_length_b 7.572
_cell_length_c 15.262
_cell_angle_alpha 90.00
_cell_angle_beta 90.00
_cell_angle_gamma 90.00
_space_group_name_H-M_alt 'I 4/m c m'
_space_group_IT_number 140
_space_group_name_Hall '-I 4 2c'
loop_
_atom_site_label
_atom_site_type_symbol
_atom_site_fract_x
_atom_site_fract_y
_atom_site_fract_z
Pr1 Pr 0.000 0.000 0.000
Pr2 Pr 0.168 0.332 0.148
Pd1 Pd 0.130 0.370 0.500
Pt1 Pt 0.000 0.000 0.250
```

Peak list (6 most intense, 10 to 90 degrees two-theta, most intense first)
(hkl)  two_theta  d [Å]  I (rel.)
2 1 3  31.7  2.819  1000
3 1 0  37.6  2.394  542
2 0 4  33.3  2.687  450
1 1 4  28.7  3.107  249
2 2 0  33.5  2.677  165
4 1 3  53.0  1.728  155

Calculated X-ray diffraction stick pattern of Mg2Cu2Cl7 for CuKα, from a structure optimized by DFT (GGA-PBE).
Neutral-atom scattering factors, no anomalous dispersion.

```
data_Mg2Cu2Cl7
_cell_length_a 6.631
_cell_length_b 11.313
_cell_length_c 8.722
_cell_angle_alpha 90.00
_cell_angle_beta 99.41
_cell_angle_gamma 90.00
_space_group_name_H-M_alt 'C 1 2/m 1'
_space_group_IT_number 12
loop_
_space_group_symop_operation_xyz
'x,y,z'
'-x,-y,-z'
'-x,y,-z'
'x,-y,z'
'x+1/2,y+1/2,z'
'-x+1/2,-y+1/2,-z'
'-x+1/2,y+1/2,-z'
'x+1/2,-y+1/2,z'
loop_
_atom_site_label
_atom_site_type_symbol
_atom_site_fract_x
_atom_site_fract_y
_atom_site_fract_z
Mg1 Mg 0.000 0.170 0.000
Cu1 Cu 0.218 0.500 0.719
Cl1 Cl 0.000 0.500 0.500
Cl2 Cl 0.065 0.000 0.820
Cl3 Cl 0.160 0.318 0.834
```

Peak list (6 most intense, 10 to 90 degrees two-theta, most intense first)
(hkl)  two_theta  d [Å]  I (rel.)
1 1 -1  17.5  5.071  1000
1 3 -2  33.0  2.711  402
0 0 1  10.3  8.604  310
0 6 0  48.3  1.886  209
0 2 1  18.8  4.727  195
2 0 2  37.1  2.421  188